# 1
BaErHgAs2: computed powder XRD pattern (Cu Kα), based on a DFT-relaxed cell (GGA-PBE, OQMD).
Intensities are scaled so that the largest is 100.

Structural model:
```
BaErHgAs2
1.0
2.1289 -9.1063 0.0000
2.1289 9.1063 0.0000
0.0000 0.0000 7.2973
Ba Er Hg As
2 2 2 4
direct
0.1942 0.8058 0.5000
0.8058 0.1942 0.0000
0.0226 0.9774 0.1698
0.9774 0.0226 0.6698
0.3894 0.6106 0.3454
0.6106 0.3894 0.8454
0.1690 0.8310 0.0361
0.4593 0.5407 0.9452
0.5407 0.4593 0.4452
0.8310 0.1690 0.5361
```

Top 10 peaks for 10 to 90 degrees two-theta, in order of rising 2θ:
15.56 deg, rel. 35; 24.70 deg, rel. 48; 28.37 deg, rel. 44; 31.42 deg, rel. 29; 31.93 deg, rel. 55; 32.34 deg, rel. 93; 32.69 deg, rel. 100; 35.62 deg, rel. 79; 42.46 deg, rel. 43; 54.12 deg, rel. 36

# 2
BaErMgAs2: computed powder XRD pattern (Cu Kα), based on a DFT-relaxed cell (GGA-PBE, OQMD).
Intensities are scaled so that the largest is 100.

Structural model:
```
BaErMgAs2
1.0
2.1945 -9.0409 0.0000
2.1945 9.0409 0.0000
0.0000 0.0000 6.9143
Ba Er Mg As
2 2 2 4
direct
0.1972 0.8028 0.5000
0.8028 0.1972 0.0000
0.0261 0.9739 0.7954
0.9739 0.0261 0.2954
0.4003 0.5997 0.6252
0.5997 0.4003 0.1252
0.1621 0.8379 0.9991
0.4509 0.5491 0.0034
0.5491 0.4509 0.5034
0.8379 0.1621 0.4991
```

Top 10 peaks for 10 to 90 degrees two-theta, in order of rising 2θ:
20.83 deg, rel. 35; 27.62 deg, rel. 37; 28.27 deg, rel. 43; 32.07 deg, rel. 46; 32.41 deg, rel. 27; 33.36 deg, rel. 27; 36.28 deg, rel. 100; 41.13 deg, rel. 30; 51.76 deg, rel. 21; 66.51 deg, rel. 17

# 3
BaZn2As2H2O9: computed powder XRD pattern (Cu Kα), based on a DFT-relaxed cell (GGA-PBE, OQMD).
Intensities are scaled so that the largest is 100.

Structural model:
```
BaZn2As2H2O9
1.0
5.2264 0.0000 0.0000
0.0000 10.4262 0.0000
-0.7326 0.0000 7.9962
Ba Zn As H O
2 4 4 4 18
direct
0.0416 0.0000 0.3080
0.9584 0.5000 0.6920
0.0277 0.3452 0.0939
0.4423 0.5783 0.3894
0.5577 0.0783 0.6106
0.9723 0.8452 0.9061
0.0871 0.1340 0.8145
0.4279 0.7912 0.6861
0.5721 0.2912 0.3139
0.9129 0.6340 0.1855
0.4635 0.3312 0.8057
0.4863 0.4355 0.9409
0.5137 0.9355 0.0591
0.5365 0.8312 0.1943
0.0536 0.7747 0.1341
0.0665 0.0231 0.9702
0.0671 0.5762 0.3696
0.1230 0.7497 0.7327
0.4023 0.3475 0.1375
0.4029 0.1654 0.7883
0.4106 0.9100 0.5377
0.4381 0.1579 0.3923
0.4647 0.4265 0.8182
0.5353 0.9265 0.1818
0.5619 0.6579 0.6077
0.5894 0.4100 0.4623
0.5971 0.6654 0.2117
0.5977 0.8475 0.8625
0.8770 0.2497 0.2673
0.9329 0.0762 0.6304
0.9335 0.5231 0.0298
0.9464 0.2747 0.8659
```

Top 10 peaks for 10 to 90 degrees two-theta, in order of rising 2θ:
17.03 deg, rel. 25; 20.34 deg, rel. 26; 21.25 deg, rel. 66; 22.23 deg, rel. 29; 27.99 deg, rel. 100; 28.20 deg, rel. 32; 30.64 deg, rel. 53; 31.96 deg, rel. 54; 34.46 deg, rel. 53; 44.12 deg, rel. 26

# 4
BaHg2As2S6: computed powder XRD pattern (Cu Kα), based on a DFT-relaxed cell (GGA-PBE, OQMD).
Intensities are scaled so that the largest is 100.

Structural model:
```
BaHg2As2S6
1.0
4.1814 -4.1708 0.0000
4.1814 4.1708 0.0000
0.0000 0.0000 16.5411
Ba Hg As S
2 4 4 12
direct
0.0000 0.0000 0.0000
0.5000 0.5000 0.5000
0.0161 0.4839 0.2500
0.4839 0.0161 0.7500
0.5161 0.9839 0.2500
0.9839 0.5161 0.7500
0.0193 0.9807 0.3958
0.4807 0.5193 0.8958
0.5193 0.4807 0.1042
0.9807 0.0193 0.6042
0.0158 0.4046 0.6001
0.0319 0.9681 0.7383
0.0954 0.4842 0.8999
0.4046 0.0158 0.3999
0.4681 0.5319 0.2383
0.4842 0.0954 0.1001
0.5158 0.9046 0.8999
0.5319 0.4681 0.7617
0.5954 0.9842 0.6001
0.9046 0.5158 0.1001
0.9681 0.0319 0.2617
0.9842 0.5954 0.3999
```

Top 10 peaks for 10 to 90 degrees two-theta, in order of rising 2θ:
10.70 deg, rel. 43; 22.05 deg, rel. 26; 23.87 deg, rel. 100; 30.27 deg, rel. 89; 30.98 deg, rel. 18; 37.42 deg, rel. 21; 39.15 deg, rel. 26; 44.99 deg, rel. 21; 50.07 deg, rel. 31; 54.16 deg, rel. 28